The following is a simulated powder XRD pattern of Ba2Cu2TcO6. It was derived from a crystal structure in Alexandria, relaxed with PBE, using Cu Ka.
Lines closer than 0.1° are merged.

Crystal structure
Lattice parameters (Å, degrees): 6.2858 6.2858 6.2858 56.56 56.56 56.56
Fractional coordinates of all 11 atoms:
Ba1 0.2241 0.2241 0.2241
Ba2 0.7759 0.7759 0.7759
Cu1 0.4172 0.4172 0.4172
Cu2 0.5828 0.5828 0.5828
Tc1 0.0000 0.0000 0.0000
O1 0.2249 0.7727 0.7727
O2 0.2273 0.2273 0.7751
O3 0.2273 0.7751 0.2273
O4 0.7727 0.2249 0.7727
O5 0.7727 0.7727 0.2249
O6 0.7751 0.2273 0.2273

Peak list (10 most intense, 15 to 90 degrees two-theta, in order of falling intensity)
| 2theta | I (rel.) |
| --- | --- |
| 30.01 | 100 |
| 33.27 | 56 |
| 55.39 | 29 |
| 28.48 | 23 |
| 45.41 | 22 |
| 41.84 | 20 |
| 53.28 | 19 |
| 61.35 | 18 |
| 62.36 | 17 |
| 72.54 | 11 |